For GaNi2BO5, the PBE+U geometry in Alexandria gives the computed powder diffractogram in this record (Cu Kα).
Peak positions follow from Bragg's law for the DFT cell and can differ from measured ones.

Most intense lines, 10° ≤ 2θ ≤ 80°, most intense first:
2theta  intensity
34.98  100.0
35.58  78.5
17.28  70.4
38.61  36.2
44.49  33.2
47.62  32.8
38.42  30.3
62.05  28.4
58.45  26.4
42.52  22.5

Cell and atoms:
```
GaNi2BO5
1.0
9.3232 0.0000 0.0000
0.0000 12.2899 0.0000
0.0000 0.0000 3.0003
Ga Ni B O
4 8 4 20
Direct
0.2386 0.1163 0.0000
0.2614 0.6163 0.0000
0.7386 0.3837 0.0000
0.7614 0.8837 0.0000
0.0000 0.0000 0.5000
0.9996 0.2816 0.5000
0.0000 0.5000 0.0000
0.0004 0.7184 0.5000
0.5000 0.0000 0.0000
0.4996 0.2184 0.5000
0.5000 0.5000 0.5000
0.5004 0.7816 0.5000
0.2282 0.8612 0.0000
0.2718 0.3612 0.0000
0.7282 0.6388 0.0000
0.7718 0.1388 0.0000
0.1097 0.1432 0.5000
0.1190 0.5790 0.5000
0.1238 0.3597 0.0000
0.1516 0.9586 0.0000
0.1531 0.7630 0.0000
0.3469 0.2630 0.0000
0.3484 0.4586 0.0000
0.3762 0.8597 0.0000
0.3810 0.0790 0.5000
0.3903 0.6432 0.5000
0.6097 0.3568 0.5000
0.6190 0.9210 0.5000
0.6238 0.1403 0.0000
0.6516 0.5414 0.0000
0.6531 0.7370 0.0000
0.8469 0.2370 0.0000
0.8484 0.0414 0.0000
0.8762 0.6403 0.0000
0.8810 0.4210 0.5000
0.8903 0.8568 0.5000
```